Starting from DFT lattice parameters and positions (PBE+U), the powder X-ray diffraction pattern of V4BrO7 was calculated for Cu Kα.
Lines closer than 0.1° are merged.

Main lines, in order of rising 2θ (10 to 80 degrees two-theta):
(1 1 0), 2θ 17.2, 5.163 Å, I 25
(1 0 1), 2θ 17.5, 5.057 Å, I 47
(2 1 0), 2θ 20.1, 4.412 Å, I 100
(3 0 1), 2θ 24.5, 3.627 Å, I 53
(2 1 1), 2θ 26.1, 3.413 Å, I 47
(4 1 1), 2θ 33.7, 2.661 Å, I 25

```
data_V4BrO7
_cell_length_a 14.7167
_cell_length_b 5.5132
_cell_length_c 5.3855
_cell_angle_alpha 90.00
_cell_angle_beta 90.00
_cell_angle_gamma 90.00
_space_group_name_H-M_alt 'P m n 21'
_space_group_IT_number 31
_space_group_name_Hall 'P 2ac -2'
loop_
_atom_site_label
_atom_site_type_symbol
_atom_site_fract_x
_atom_site_fract_y
_atom_site_fract_z
_atom_site_occupancy
V1 V 0.1100 0.1795 0.0000 1
V2 V 0.2328 0.6152 0.9809 1
Br1 Br 0.0000 0.9634 0.3254 1
O1 O 0.0000 0.2743 0.8894 1
O2 O 0.1730 0.3935 0.2189 1
O3 O 0.1741 0.8869 0.9506 1
O4 O 0.1849 0.3735 0.7575 1
```